For Li4Ga2PdAu, a PBE-relaxed structure gives the calculated PXRD pattern in this record (copper Kα).

Principal peaks in the range 10 to 80 degrees two-theta, in order of falling intensity:
| 2θ/deg | intensity |
| --- | --- |
| 25.17 | 100 |
| 41.68 | 83 |
| 49.31 | 49 |
| 76.08 | 28 |
| 66.50 | 20 |
| 60.41 | 14 |
| 29.14 | 12 |
| 20.49 | 6 |

Structural model:
Cell lengths 4.334, 4.334, 6.130 Å; angles 90.00, 90.00, 90.00 degrees
Atoms (fractional coordinates):
1 Li 0.000 0.000 0.000
2 Li 0.000 0.500 0.747
3 Li 0.500 0.000 0.253
4 Li 0.500 0.500 0.500
5 Ga 0.000 0.500 0.265
6 Ga 0.500 0.000 0.735
7 Pd 0.000 0.000 0.500
8 Au 0.500 0.500 0.000


For Li2Sc2Ga2PtAu, a PBE-relaxed structure gives the calculated PXRD pattern in this record (copper Kα).

Principal peaks in the range 10 to 80 degrees two-theta, in order of falling intensity:
| 2θ/deg | intensity |
| --- | --- |
| 39.99 | 100 |
| 24.18 | 89 |
| 47.28 | 46 |
| 72.64 | 34 |
| 63.61 | 19 |
| 57.84 | 17 |
| 77.84 | 15 |
| 27.99 | 8 |

Structural model:
Cell lengths 4.508, 4.508, 6.378 Å; angles 90.00, 90.00, 90.00 degrees
Atoms (fractional coordinates):
1 Li 0.000 0.000 0.000
2 Li 0.500 0.500 0.500
3 Sc 0.000 0.500 0.242
4 Sc 0.500 0.000 0.758
5 Ga 0.000 0.500 0.757
6 Ga 0.500 0.000 0.243
7 Pt 0.500 0.500 0.000
8 Au 0.000 0.000 0.500


For Li4GaSiAu2, a PBE-relaxed structure gives the calculated PXRD pattern in this record (copper Kα).

Principal peaks in the range 10 to 80 degrees two-theta, in order of falling intensity:
| 2θ/deg | intensity |
| --- | --- |
| 25.14 | 100 |
| 41.64 | 69 |
| 49.26 | 49 |
| 29.11 | 28 |
| 75.99 | 23 |
| 66.42 | 20 |
| 60.35 | 11 |
| 68.38 | 10 |

Structural model:
Cell lengths 4.338, 4.338, 6.135 Å; angles 90.00, 90.00, 90.00 degrees
Atoms (fractional coordinates):
1 Li 0.000 0.000 0.000
2 Li 0.000 0.500 0.746
3 Li 0.500 0.000 0.254
4 Li 0.500 0.500 0.500
5 Ga 0.500 0.500 0.000
6 Si 0.000 0.000 0.500
7 Au 0.000 0.500 0.263
8 Au 0.500 0.000 0.737


For Li2GaSnAu4, a PBE-relaxed structure gives the calculated PXRD pattern in this record (copper Kα).

Principal peaks in the range 10 to 80 degrees two-theta, in order of falling intensity:
| 2θ/deg | intensity |
| --- | --- |
| 38.95 | 100 |
| 39.51 | 50 |
| 27.65 | 44 |
| 71.29 | 35 |
| 26.88 | 22 |
| 48.44 | 18 |
| 57.11 | 17 |
| 70.17 | 16 |

Structural model:
Cell lengths 4.562, 4.562, 6.632 Å; angles 90.00, 90.00, 90.00 degrees
Atoms (fractional coordinates):
1 Li 0.000 0.000 0.000
2 Li 0.500 0.500 0.500
3 Ga 0.000 0.000 0.500
4 Sn 0.500 0.500 0.000
5 Au 0.000 0.500 0.270
6 Au 0.000 0.500 0.732
7 Au 0.500 0.000 0.268
8 Au 0.500 0.000 0.730


For LiGa2Te4Au, a PBE-relaxed structure gives the calculated PXRD pattern in this record (copper Kα).

Principal peaks in the range 10 to 80 degrees two-theta, in order of falling intensity:
| 2θ/deg | intensity |
| --- | --- |
| 24.65 | 100 |
| 41.09 | 50 |
| 47.74 | 33 |
| 40.21 | 26 |
| 73.68 | 17 |
| 49.27 | 17 |
| 65.40 | 14 |
| 15.75 | 13 |

Structural model:
Cell lengths 7.565, 7.565, 7.565 Å; angles 130.42, 130.42, 72.73 degrees
Atoms (fractional coordinates):
1 Li 0.000 0.000 0.000
2 Ga 0.250 0.750 0.500
3 Ga 0.500 0.500 0.000
4 Te 0.137 0.628 0.012
5 Te 0.372 0.385 0.509
6 Te 0.615 0.125 0.988
7 Te 0.875 0.863 0.491
8 Au 0.750 0.250 0.500


For Na4MgGaAu2, a PBE-relaxed structure gives the calculated PXRD pattern in this record (copper Kα).

Principal peaks in the range 10 to 80 degrees two-theta, in order of falling intensity:
| 2θ/deg | intensity |
| --- | --- |
| 36.56 | 100 |
| 22.15 | 81 |
| 43.20 | 30 |
| 65.86 | 23 |
| 25.66 | 20 |
| 43.06 | 15 |
| 57.77 | 13 |
| 65.70 | 12 |

Structural model:
Cell lengths 4.909, 4.909, 6.973 Å; angles 90.00, 90.00, 90.00 degrees
Atoms (fractional coordinates):
1 Na 0.000 0.000 0.000
2 Na 0.000 0.500 0.738
3 Na 0.500 0.000 0.262
4 Na 0.500 0.500 0.500
5 Mg 0.500 0.500 0.000
6 Ga 0.000 0.000 0.500
7 Au 0.000 0.500 0.254
8 Au 0.500 0.000 0.746